1.
Structure and theoretical powder XRD pattern of V4O3F9 (a PBE+U-relaxed structure; Cu Ka).

```
data_V4O3F9
_space_group_name_H-M_alt 'C 1 2 1'
_space_group_IT_number 5
_cell_length_a 9.4187
_cell_length_b 5.2518
_cell_length_c 9.0754
_cell_angle_alpha 90.00
_cell_angle_beta 108.21
_cell_angle_gamma 90.00
loop_
_space_group_symop_operation_xyz
'x,y,z'
'-x,y,-z'
'x+1/2,y+1/2,z'
'-x+1/2,y+1/2,-z'
loop_
_atom_site_label
_atom_site_type_symbol
_atom_site_fract_x
_atom_site_fract_y
_atom_site_fract_z
_atom_site_occupancy
V1 V 0.1141 0.0000 0.3795 1
V2 V 0.1190 0.4613 0.8703 1
O1 O 0.0000 0.0693 0.5000 1
O2 O 0.0083 0.2120 0.7921 1
F1 F 0.0000 0.5835 0.0000 1
F2 F 0.0035 0.6946 0.7059 1
F3 F 0.2411 0.9022 0.2493 1
F4 F 0.2465 0.7787 0.9516 1
F5 F 0.2494 0.2867 0.4536 1
```

The 10 most intense peaks (2θ from 10° to 90°), in order of rising 2θ:
2θ/deg	I_rel
23.6	100
23.8	49
33.3	12
39.8	15
48.3	21
48.7	10
53.7	11
53.8	13
54.1	10
55.1	11

=====

2.
Structure and theoretical powder XRD pattern of CrOF (a PBE+U-relaxed structure; Cu Ka).

```
data_CrOF
_space_group_name_H-M_alt 'P 1 21/c 1'
_space_group_IT_number 14
_cell_length_a 5.1234
_cell_length_b 4.6005
_cell_length_c 5.6261
_cell_angle_alpha 90.00
_cell_angle_beta 91.47
_cell_angle_gamma 90.00
loop_
_space_group_symop_operation_xyz
'x,y,z'
'-x,-y,-z'
'-x,y+1/2,-z+1/2'
'x,-y+1/2,z+1/2'
loop_
_atom_site_label
_atom_site_type_symbol
_atom_site_fract_x
_atom_site_fract_y
_atom_site_fract_z
_atom_site_occupancy
Cr1 Cr 0.2255 0.0160 0.3510 1
O1 O 0.0806 0.2239 0.6146 1
F1 F 0.4208 0.7411 0.1125 1
```

The 10 most intense peaks (2θ from 10° to 90°), in order of rising 2θ:
2θ/deg	I_rel
25.0	94
30.3	58
30.8	100
36.0	19
40.3	20
43.2	30
52.7	24
53.6	37
54.3	34
54.9	30

=====

3.
Structure and theoretical powder XRD pattern of Cu3Ni4O12 (a PBE+U-relaxed structure; Cu Ka).

```
data_Cu3Ni4O12
_space_group_name_H-M_alt 'I m -3'
_space_group_IT_number 204
_space_group_name_Hall '-I 2 2 3'
_cell_length_a 7.2794
_cell_length_b 7.2794
_cell_length_c 7.2794
_cell_angle_alpha 90.00
_cell_angle_beta 90.00
_cell_angle_gamma 90.00
loop_
_atom_site_label
_atom_site_type_symbol
_atom_site_fract_x
_atom_site_fract_y
_atom_site_fract_z
_atom_site_occupancy
Cu1 Cu 0.0000 0.0000 0.5000 1
Ni1 Ni 0.2500 0.2500 0.2500 1
O1 O 0.0000 0.3193 0.1741 1
```

The 10 most intense peaks (2θ from 10° to 90°), in order of rising 2θ:
2θ/deg	I_rel
17.2	22
30.1	13
34.9	100
39.1	8
46.7	5
50.1	25
53.4	5
62.5	50
73.6	11
84.1	16

=====

4.
Structure and theoretical powder XRD pattern of PrCo2O6 (a PBE+U-relaxed structure; Cu Ka).

```
data_PrCo2O6
_space_group_name_H-M_alt 'P m n 21'
_space_group_IT_number 31
_cell_length_a 7.5931
_cell_length_b 5.3869
_cell_length_c 5.3047
_cell_angle_alpha 90.00
_cell_angle_beta 90.00
_cell_angle_gamma 90.00
loop_
_space_group_symop_operation_xyz
'x,y,z'
'-x+1/2,-y,z+1/2'
'-x,y,z'
'x+1/2,-y,z+1/2'
loop_
_atom_site_label
_atom_site_type_symbol
_atom_site_fract_x
_atom_site_fract_y
_atom_site_fract_z
_atom_site_occupancy
Pr1 Pr 0.0000 0.2182 0.0000 1
Co1 Co 0.2473 0.7423 0.9982 1
O1 O 0.0000 0.2542 0.5421 1
O2 O 0.0000 0.7576 0.9279 1
O3 O 0.2221 0.4616 0.2355 1
O4 O 0.2242 0.9628 0.2457 1
```

The 10 most intense peaks (2θ from 10° to 90°), in order of rising 2θ:
2θ/deg	I_rel
20.2	62
20.4	66
33.3	25
33.5	100
33.8	23
39.3	34
39.7	24
48.1	36
59.6	26
60.2	21